[1]
LiTi4O8: simulated powder diffraction line list (Cu Kα (λ = 1.5418 Å)), based on a cell relaxed with GGA-PBE.
Neutral-atom scattering factors, no anomalous dispersion.

Principal peaks in the range 2θ = 15–90°, in order of falling intensity:
24.47°, I = 100
28.47°, I = 53
47.58°, I = 39
43.28°, I = 36
29.25°, I = 32
43.77°, I = 32
57.32°, I = 24
32.76°, I = 20
32.62°, I = 18
66.27°, I = 15

Cell and atoms:
a = 12.410 Å, b = 3.822 Å, c = 6.575 Å
α = 90.00°, β = 107.48°, γ = 90.00°
Space group C2 (No. 5)
Asymmetric unit:
Li (0.000, 0.000, 0.000) x2
Ti (0.102, 0.638, 0.700) x4
Ti (0.199, 0.640, 0.289) x4
O (0.058, 0.653, 0.365) x4
O (0.124, 0.653, 0.005) x4
O (0.138, 0.144, 0.711) x4
O (0.235, 0.142, 0.344) x4



[2]
Li8GaS6: simulated powder diffraction line list (Cu Kα (λ = 1.5418 Å)), based on a cell relaxed with GGA-PBE.
Neutral-atom scattering factors, no anomalous dispersion.

Principal peaks in the range 2θ = 15–90°, in order of falling intensity:
24.52°, I = 100
15.81°, I = 70
50.25°, I = 54
31.93°, I = 42
29.16°, I = 40
23.86°, I = 32
30.87°, I = 32
28.41°, I = 29
42.36°, I = 24
17.99°, I = 22

Cell and atoms:
a = 6.574 Å, b = 7.459 Å, c = 10.731 Å
α = 90.00°, β = 90.00°, γ = 90.00°
Space group Pmn2_1 (No. 31)
Asymmetric unit:
Li (0.000, 0.115, 0.000) x2
Li (0.000, 0.241, 0.431) x2
Li (0.212, 0.571, 0.775) x4
Li (0.214, 0.946, 0.770) x4
Li (0.227, 0.738, 0.105) x4
Ga (0.000, 0.745, 0.477) x2
S (0.000, 0.007, 0.586) x2
S (0.000, 0.241, 0.215) x2
S (0.000, 0.489, 0.589) x2
S (0.000, 0.779, 0.925) x2
S (0.239, 0.256, 0.834) x4



[3]
Be4IrOs: simulated powder diffraction line list (Cu Kα (λ = 1.5418 Å)), based on a cell relaxed with GGA-PBE.
Neutral-atom scattering factors, no anomalous dispersion.

Principal peaks in the range 2θ = 15–90°, in order of falling intensity:
24.98°, I = 100
41.36°, I = 90
48.93°, I = 60
75.42°, I = 31
65.95°, I = 21
80.90°, I = 19
59.93°, I = 13
89.87°, I = 12

Cell and atoms:
a = 6.174 Å, b = 6.174 Å, c = 6.174 Å
α = 90.00°, β = 90.00°, γ = 90.00°
Space group F-43m (No. 216)
Asymmetric unit:
Be (0.124, 0.124, 0.376) x16
Ir (0.000, 0.000, 0.000) x4
Os (0.250, 0.250, 0.750) x4



[4]
Pu5Tc2Ru2: simulated powder diffraction line list (Cu Kα (λ = 1.5418 Å)), based on a cell relaxed with GGA-PBE.
Neutral-atom scattering factors, no anomalous dispersion.

Principal peaks in the range 2θ = 15–90°, in order of falling intensity:
36.90°, I = 100
32.94°, I = 85
32.41°, I = 77
38.77°, I = 49
38.41°, I = 32
52.97°, I = 27
47.23°, I = 24
65.15°, I = 22
45.17°, I = 21
34.97°, I = 21

Cell and atoms:
a = 15.396 Å, b = 6.297 Å, c = 7.678 Å
α = 90.00°, β = 90.00°, γ = 90.00°
Space group Cmce (No. 64)
Asymmetric unit:
Pu (0.000, 0.000, 0.000) x4
Pu (0.142, 0.187, 0.313) x16
Tc (0.000, 0.139, 0.639) x8
Ru (0.239, 0.000, 0.000) x8



[5]
NaB3H12: simulated powder diffraction line list (Cu Kα (λ = 1.5418 Å)), based on a cell relaxed with GGA-PBE.
Neutral-atom scattering factors, no anomalous dispersion.

Principal peaks in the range 2θ = 15–90°, in order of falling intensity:
22.48°, I = 100
17.92°, I = 88
36.91°, I = 78
33.54°, I = 75
30.53°, I = 54
35.49°, I = 51
36.29°, I = 43
23.42°, I = 32
46.53°, I = 28
42.96°, I = 24

Cell and atoms:
a = 6.3466 Å, b = 6.3466 Å, c = 22.7921 Å
α = 90.00°, β = 90.00°, γ = 120.00°
Space group R3c (No. 161, hexagonal axes)
Asymmetric unit:
Na (0.0000, 0.0000, 0.0000) x6
B (0.0765, 0.3378, 0.2724) x18
H (0.0184, 0.3430, 0.3225) x18
H (0.0355, 0.1737, 0.7661) x18
H (0.0499, 0.3790, 0.5649) x18
H (0.1583, 0.4633, 0.7662) x18



[6]
RbOs2O6: simulated powder diffraction line list (Cu Kα (λ = 1.5418 Å)), based on a cell relaxed with GGA-PBE.
Neutral-atom scattering factors, no anomalous dispersion.

Principal peaks in the range 2θ = 15–90°, in order of falling intensity:
28.92°, I = 100
30.24°, I = 65
50.42°, I = 41
46.06°, I = 34
59.92°, I = 29
70.66°, I = 24
59.17°, I = 15
82.05°, I = 12
35.05°, I = 11
52.90°, I = 11

Cell and atoms:
a = 10.239 Å, b = 10.239 Å, c = 10.239 Å
α = 90.00°, β = 90.00°, γ = 90.00°
Space group Fd-3m (No. 227, origin choice 2)
Asymmetric unit:
Rb (0.125, 0.125, 0.125) x8
Os (0.000, 0.000, 0.500) x16
O (0.065, 0.375, 0.875) x48



[7]
KH2Pd2: simulated powder diffraction line list (Cu Kα (λ = 1.5418 Å)), based on a cell relaxed with GGA-PBE.
Neutral-atom scattering factors, no anomalous dispersion.

Principal peaks in the range 2θ = 15–90°, in order of falling intensity:
36.65°, I = 100
16.10°, I = 97
32.53°, I = 36
32.70°, I = 32
58.26°, I = 26
46.92°, I = 25
46.80°, I = 24
60.76°, I = 22
49.93°, I = 21
80.31°, I = 19

Cell and atoms:
a = 5.476 Å, b = 5.477 Å, c = 11.010 Å
α = 90.00°, β = 90.00°, γ = 90.00°
Space group Cmcm (No. 63)
Asymmetric unit:
K (0.000, 0.249, 0.250) x4
H (0.000, 0.250, 0.507) x8
Pd (0.250, 0.000, 0.000) x8



[8]
Hf5PbN: simulated powder diffraction line list (Cu Kα (λ = 1.5418 Å)), based on a cell relaxed with GGA-PBE.
Neutral-atom scattering factors, no anomalous dispersion.

Principal peaks in the range 2θ = 15–90°, in order of falling intensity:
35.06°, I = 100
35.62°, I = 83
35.28°, I = 52
36.08°, I = 49
51.35°, I = 36
71.26°, I = 26
62.81°, I = 21
64.22°, I = 18
71.89°, I = 16
64.58°, I = 15

Cell and atoms:
a = 4.978 Å, b = 6.184 Å, c = 8.953 Å
α = 90.00°, β = 90.00°, γ = 90.00°
Space group Immm (No. 71)
Asymmetric unit:
Hf (0.000, 0.000, 0.000) x2
Hf (0.000, 0.253, 0.329) x8
Pb (0.000, 0.500, 0.000) x2
N (0.000, 0.500, 0.500) x2



[9]
Y5Sb: simulated powder diffraction line list (Cu Kα (λ = 1.5418 Å)), based on a cell relaxed with GGA-PBE.
Neutral-atom scattering factors, no anomalous dispersion.

Principal peaks in the range 2θ = 15–90°, in order of falling intensity:
32.20°, I = 100
32.33°, I = 99
32.60°, I = 48
31.40°, I = 39
58.08°, I = 31
46.66°, I = 20
27.75°, I = 17
53.69°, I = 16
35.37°, I = 16
35.61°, I = 15

Cell and atoms:
a = 12.338 Å, b = 3.893 Å, c = 7.946 Å
α = 90.00°, β = 106.67°, γ = 90.00°
Space group Cm (No. 8)
Asymmetric unit:
Y (0.000, 0.000, 0.000) x2
Y (0.007, 0.000, 0.590) x2
Y (0.133, 0.500, 0.340) x2
Y (0.298, 0.000, 0.704) x2
Y (0.339, 0.000, 0.231) x2
Sb (0.183, 0.500, 0.924) x2



[10]
Ca4NbGaO8: simulated powder diffraction line list (Cu Kα (λ = 1.5418 Å)), based on a cell relaxed with GGA-PBE.
Neutral-atom scattering factors, no anomalous dispersion.

Principal peaks in the range 2θ = 15–90°, in order of falling intensity:
32.07°, I = 100
31.55°, I = 46
29.43°, I = 34
43.68°, I = 28
56.51°, I = 25
21.44°, I = 24
48.22°, I = 19
27.83°, I = 18
33.49°, I = 15
58.77°, I = 13

Cell and atoms:
a = 11.323 Å, b = 5.672 Å, c = 14.278 Å
α = 90.00°, β = 121.76°, γ = 90.00°
Space group P2_1/c (No. 14)
Asymmetric unit:
Ca (0.061, 0.247, 0.092) x4
Ca (0.255, 0.726, 0.888) x4
Ca (0.288, 0.726, 0.643) x4
Ca (0.389, 0.226, 0.573) x4
Nb (0.078, 0.249, 0.368) x4
Ga (0.389, 0.211, 0.829) x4
O (0.007, 0.080, 0.722) x4
O (0.081, 0.670, 0.625) x4
O (0.145, 0.024, 0.494) x4
O (0.176, 0.511, 0.465) x4
O (0.270, 0.181, 0.377) x4
O (0.313, 0.177, 0.187) x4
O (0.388, 0.622, 0.326) x4
O (0.432, 0.677, 0.077) x4



[11]
BeRhBr: simulated powder diffraction line list (Cu Kα (λ = 1.5418 Å)), based on a cell relaxed with GGA-PBE.
Neutral-atom scattering factors, no anomalous dispersion.

Principal peaks in the range 2θ = 15–90°, in order of falling intensity:
27.19°, I = 100
35.12°, I = 32
32.87°, I = 30
41.03°, I = 28
18.04°, I = 26
33.41°, I = 21
36.55°, I = 19
42.52°, I = 18
49.55°, I = 18
37.04°, I = 18

Cell and atoms:
a = 3.016 Å, b = 3.923 Å, c = 9.890 Å
α = 83.87°, β = 87.84°, γ = 67.42°
Space group P-1 (No. 2)
Asymmetric unit:
Be (0.146, 0.199, 0.037) x2
Rh (0.429, 0.608, 0.133) x2
Br (0.223, 0.134, 0.679) x2